No. 1
Simulated X-ray diffraction stick pattern of LiMg6SiO8 for Cu Kα (weighted mean of Kα1 and Kα2), from a cell relaxed with PBE.
Peak positions follow from Bragg's law for the DFT cell and can differ from measured ones.

Peak list (10 most intense, 10 to 90 degrees two-theta, by angle)
| d/Å | 2θ (°) | I_rel |
| --- | --- | --- |
| 8.475 | 10.4 | 104 |
| 3.805 | 23.4 | 92 |
| 2.837 | 31.5 | 65 |
| 2.455 | 36.6 | 102 |
| 2.129 | 42.5 | 1000 |
| 2.119 | 42.7 | 458 |
| 1.506 | 61.6 | 280 |
| 1.502 | 61.8 | 519 |
| 1.283 | 73.8 | 58 |
| 1.227 | 77.8 | 236 |

Cell and atoms:
```
data_LiMg6SiO8
_chemical_formula_sum 'Li1 Mg6 Si1 O8'
_cell_length_a 4.258
_cell_length_b 4.258
_cell_length_c 8.475
_cell_angle_alpha 90.00
_cell_angle_beta 90.00
_cell_angle_gamma 90.00
_symmetry_space_group_name_H-M 'P 1'
_symmetry_Int_Tables_number 1
loop_
_symmetry_equiv_pos_as_xyz
'x,y,z'
loop_
_atom_site_label
_atom_site_fract_x
_atom_site_fract_y
_atom_site_fract_z
_atom_site_occupancy
Li1 0.000 0.000 0.000 1
Mg1 0.000 0.500 0.239 1
Mg2 0.000 0.500 0.761 1
Mg3 0.500 0.000 0.239 1
Mg4 0.500 0.000 0.761 1
Mg5 0.500 0.500 0.000 1
Mg6 0.500 0.500 0.500 1
Si1 0.000 0.000 0.500 1
O1 0.000 0.000 0.277 1
O2 0.000 0.000 0.723 1
O3 0.000 0.500 0.000 1
O4 0.000 0.500 0.500 1
O5 0.500 0.000 0.000 1
O6 0.500 0.000 0.500 1
O7 0.500 0.500 0.253 1
O8 0.500 0.500 0.747 1
```

---

No. 2
Simulated X-ray diffraction stick pattern of HfNbRu2 for Cu Kα (weighted mean of Kα1 and Kα2), from a cell relaxed with PBE.
Peak positions follow from Bragg's law for the DFT cell and can differ from measured ones.

Peak list (10 most intense, 10 to 90 degrees two-theta, by angle)
| d/Å | 2θ (°) | I_rel |
| --- | --- | --- |
| 3.712 | 24.0 | 66 |
| 3.215 | 27.7 | 23 |
| 2.273 | 39.6 | 1000 |
| 1.939 | 46.9 | 37 |
| 1.608 | 57.3 | 168 |
| 1.475 | 63.0 | 16 |
| 1.438 | 64.8 | 10 |
| 1.313 | 71.9 | 338 |
| 1.237 | 77.1 | 12 |
| 1.137 | 85.4 | 109 |

Cell and atoms:
```
data_HfNbRu2
_chemical_formula_sum 'Hf4 Nb4 Ru8'
_cell_length_a 6.430
_cell_length_b 6.430
_cell_length_c 6.430
_cell_angle_alpha 90.00
_cell_angle_beta 90.00
_cell_angle_gamma 90.00
_symmetry_space_group_name_H-M 'P 1'
_symmetry_Int_Tables_number 1
loop_
_symmetry_equiv_pos_as_xyz
'x,y,z'
loop_
_atom_site_label
_atom_site_fract_x
_atom_site_fract_y
_atom_site_fract_z
_atom_site_occupancy
Hf1 0.000 0.000 0.000 1
Hf2 0.000 0.500 0.500 1
Hf3 0.500 0.000 0.500 1
Hf4 0.500 0.500 0.000 1
Nb1 0.000 0.000 0.500 1
Nb2 0.000 0.500 0.000 1
Nb3 0.500 0.000 0.000 1
Nb4 0.500 0.500 0.500 1
Ru1 0.250 0.250 0.250 1
Ru2 0.250 0.250 0.750 1
Ru3 0.250 0.750 0.250 1
Ru4 0.250 0.750 0.750 1
Ru5 0.750 0.250 0.250 1
Ru6 0.750 0.250 0.750 1
Ru7 0.750 0.750 0.250 1
Ru8 0.750 0.750 0.750 1
```

---

No. 3
Simulated X-ray diffraction stick pattern of Eu2GeSe4 for Cu Kα (weighted mean of Kα1 and Kα2), from a cell relaxed with PBE.
Peak positions follow from Bragg's law for the DFT cell and can differ from measured ones.

Peak list (10 most intense, 10 to 90 degrees two-theta, by angle)
| d/Å | 2θ (°) | I_rel |
| --- | --- | --- |
| 4.861 | 18.3 | 490 |
| 3.566 | 25.0 | 489 |
| 3.142 | 28.4 | 417 |
| 3.048 | 29.3 | 487 |
| 3.028 | 29.5 | 490 |
| 2.803 | 31.9 | 784 |
| 2.787 | 32.1 | 836 |
| 2.656 | 33.7 | 1000 |
| 2.431 | 37.0 | 681 |
| 2.087 | 43.3 | 489 |

Cell and atoms:
```
data_Eu2GeSe4
_chemical_formula_sum 'Eu4 Ge2 Se8'
_cell_length_a 6.977
_cell_length_b 7.131
_cell_length_c 8.349
_cell_angle_alpha 90.00
_cell_angle_beta 107.79
_cell_angle_gamma 90.00
_symmetry_space_group_name_H-M 'P 1'
_symmetry_Int_Tables_number 1
loop_
_symmetry_equiv_pos_as_xyz
'x,y,z'
loop_
_atom_site_label
_atom_site_fract_x
_atom_site_fract_y
_atom_site_fract_z
_atom_site_occupancy
Eu1 0.226 0.000 0.056 1
Eu2 0.251 0.017 0.563 1
Eu3 0.749 0.517 0.437 1
Eu4 0.774 0.500 0.944 1
Ge1 0.233 0.474 0.805 1
Ge2 0.767 0.974 0.195 1
Se1 0.017 0.733 0.262 1
Se2 0.019 0.746 0.750 1
Se3 0.420 0.425 0.095 1
Se4 0.428 0.439 0.614 1
Se5 0.572 0.939 0.386 1
Se6 0.580 0.925 0.905 1
Se7 0.981 0.246 0.250 1
Se8 0.983 0.233 0.738 1
```

---

No. 4
Simulated X-ray diffraction stick pattern of YSn6Ru4 for Cu Kα (weighted mean of Kα1 and Kα2), from a cell relaxed with PBE.
Peak positions follow from Bragg's law for the DFT cell and can differ from measured ones.

Peak list (10 most intense, 10 to 90 degrees two-theta, by angle)
| d/Å | 2θ (°) | I_rel |
| --- | --- | --- |
| 5.670 | 15.6 | 340 |
| 2.952 | 30.3 | 635 |
| 2.835 | 31.6 | 664 |
| 2.445 | 36.8 | 449 |
| 2.257 | 39.9 | 1000 |
| 2.245 | 40.2 | 572 |
| 2.209 | 40.9 | 710 |
| 2.187 | 41.3 | 493 |
| 1.740 | 52.6 | 331 |
| 1.495 | 62.1 | 373 |

Cell and atoms:
```
data_YSn6Ru4
_chemical_formula_sum 'Y1 Sn6 Ru4'
_cell_length_a 6.959
_cell_length_b 6.959
_cell_length_c 6.959
_cell_angle_alpha 120.42
_cell_angle_beta 120.42
_cell_angle_gamma 89.28
_symmetry_space_group_name_H-M 'P 1'
_symmetry_Int_Tables_number 1
loop_
_symmetry_equiv_pos_as_xyz
'x,y,z'
loop_
_atom_site_label
_atom_site_fract_x
_atom_site_fract_y
_atom_site_fract_z
_atom_site_occupancy
Y1 0.000 0.000 0.000 1
Sn1 0.000 0.500 0.500 1
Sn2 0.117 0.117 0.648 1
Sn3 0.469 0.469 0.352 1
Sn4 0.500 0.000 0.500 1
Sn5 0.531 0.883 0.000 1
Sn6 0.883 0.531 0.000 1
Ru1 0.250 0.596 0.000 1
Ru2 0.404 0.404 0.654 1
Ru3 0.596 0.250 0.000 1
Ru4 0.750 0.750 0.346 1
```

---

No. 5
Simulated X-ray diffraction stick pattern of Zr2Ti3Pb5O15 for Cu Kα (weighted mean of Kα1 and Kα2), from a cell relaxed with PBE.
Peak positions follow from Bragg's law for the DFT cell and can differ from measured ones.

Peak list (10 most intense, 10 to 90 degrees two-theta, by angle)
| d/Å | 2θ (°) | I_rel |
| --- | --- | --- |
| 4.490 | 19.8 | 384 |
| 2.994 | 29.8 | 1000 |
| 2.976 | 30.0 | 951 |
| 2.826 | 31.7 | 814 |
| 2.392 | 37.6 | 473 |
| 2.245 | 40.2 | 218 |
| 2.009 | 45.1 | 248 |
| 1.758 | 52.0 | 433 |
| 1.665 | 55.2 | 355 |
| 1.656 | 55.5 | 308 |

Cell and atoms:
```
data_Zr2Ti3Pb5O15
_chemical_formula_sum 'Zr2 Ti3 Pb5 O15'
_cell_length_a 4.019
_cell_length_b 19.877
_cell_length_c 4.490
_cell_angle_alpha 90.00
_cell_angle_beta 90.00
_cell_angle_gamma 90.00
_symmetry_space_group_name_H-M 'P 1'
_symmetry_Int_Tables_number 1
loop_
_symmetry_equiv_pos_as_xyz
'x,y,z'
loop_
_atom_site_label
_atom_site_fract_x
_atom_site_fract_y
_atom_site_fract_z
_atom_site_occupancy
Zr1 0.000 0.105 0.000 1
Zr2 0.000 0.895 0.000 1
Ti1 0.000 0.307 0.993 1
Ti2 0.000 0.500 0.993 1
Ti3 0.000 0.693 0.993 1
Pb1 0.500 0.000 0.439 1
Pb2 0.500 0.209 0.439 1
Pb3 0.500 0.403 0.434 1
Pb4 0.500 0.597 0.434 1
Pb5 0.500 0.791 0.439 1
O1 0.000 0.000 0.089 1
O2 0.000 0.105 0.561 1
O3 0.000 0.211 0.097 1
O4 0.000 0.306 0.603 1
O5 0.000 0.404 0.099 1
O6 0.000 0.500 0.604 1
O7 0.000 0.596 0.099 1
O8 0.000 0.694 0.603 1
O9 0.000 0.789 0.097 1
O10 0.000 0.895 0.561 1
O11 0.500 0.106 0.107 1
O12 0.500 0.307 0.086 1
O13 0.500 0.500 0.087 1
O14 0.500 0.693 0.086 1
O15 0.500 0.894 0.107 1
```

---

No. 6
Simulated X-ray diffraction stick pattern of Ti2MnSi for Cu Kα (weighted mean of Kα1 and Kα2), from a cell relaxed with PBE.
Peak positions follow from Bragg's law for the DFT cell and can differ from measured ones.

Peak list (8 most intense, 10 to 90 degrees two-theta, by angle)
| d/Å | 2θ (°) | I_rel |
| --- | --- | --- |
| 3.479 | 25.6 | 36 |
| 3.013 | 29.6 | 33 |
| 2.131 | 42.4 | 1000 |
| 1.817 | 50.2 | 15 |
| 1.740 | 52.6 | 8 |
| 1.507 | 61.6 | 150 |
| 1.347 | 69.8 | 8 |
| 1.230 | 77.6 | 291 |

Cell and atoms:
```
data_Ti2MnSi
_chemical_formula_sum 'Ti8 Mn4 Si4'
_cell_length_a 6.026
_cell_length_b 6.026
_cell_length_c 6.026
_cell_angle_alpha 90.00
_cell_angle_beta 90.00
_cell_angle_gamma 90.00
_symmetry_space_group_name_H-M 'P 1'
_symmetry_Int_Tables_number 1
loop_
_symmetry_equiv_pos_as_xyz
'x,y,z'
loop_
_atom_site_label
_atom_site_fract_x
_atom_site_fract_y
_atom_site_fract_z
_atom_site_occupancy
Ti1 0.000 0.000 0.000 1
Ti2 0.000 0.500 0.500 1
Ti3 0.250 0.250 0.250 1
Ti4 0.250 0.750 0.750 1
Ti5 0.500 0.000 0.500 1
Ti6 0.500 0.500 0.000 1
Ti7 0.750 0.250 0.750 1
Ti8 0.750 0.750 0.250 1
Mn1 0.250 0.250 0.750 1
Mn2 0.250 0.750 0.250 1
Mn3 0.750 0.250 0.250 1
Mn4 0.750 0.750 0.750 1
Si1 0.000 0.000 0.500 1
Si2 0.000 0.500 0.000 1
Si3 0.500 0.000 0.000 1
Si4 0.500 0.500 0.500 1
```